[1]
Structure and simulated powder diffraction line list of TbLuGa4Ir2 (a DFT-relaxed cell (GGA-PBE, OQMD); a wavelength of 1.5418 Å).

Unit cell a=4.1555 b=7.0902 c=5.4312 alpha=90.00 beta=112.39 gamma=90.00
Positions (direct):
Tb  0.0000  0.0000  0.0000
Lu  0.8577  0.5000  0.7162
Ga  0.2873  0.2014  0.5731
Ga  0.2873  0.7986  0.5731
Ga  0.5717  0.3028  0.1466
Ga  0.5717  0.6972  0.1466
Ir  0.1409  0.5000  0.2858
Ir  0.7158  0.0000  0.4297

Main lines, by intensity (2θ from 15° to 90°):
2theta, d_spacing, Rel. int.
36.73, 2.447, 100.0
34.43, 2.605, 79.5
38.02, 2.367, 46.4
43.56, 2.078, 36.4
25.12, 3.545, 34.3
45.04, 2.013, 22.6
43.07, 2.100, 21.0
69.28, 1.356, 18.2
76.47, 1.246, 15.2
23.16, 3.840, 15.0

---

[2]
Structure and simulated powder diffraction line list of Mg4GaSiIr2 (a DFT-relaxed cell (GGA-PBE, OQMD); a wavelength of 1.5418 Å).

Unit cell a=8.7864 b=4.2660 c=7.3967 alpha=90.00 beta=90.00 gamma=90.00
Positions (direct):
Mg  0.1685  0.0000  0.0000
Mg  0.1685  0.5000  0.5000
Mg  0.3319  0.0000  0.3327
Mg  0.3319  0.5000  0.8327
Mg  0.6681  0.0000  0.3327
Mg  0.6681  0.5000  0.8327
Mg  0.8315  0.0000  0.0000
Mg  0.8315  0.5000  0.5000
Ga  0.0000  0.0000  0.6670
Ga  0.0000  0.5000  0.1670
Si  0.5000  0.0000  0.6657
Si  0.5000  0.5000  0.1657
Ir  0.0000  0.0000  0.3336
Ir  0.0000  0.5000  0.8336
Ir  0.5000  0.0000  0.9991
Ir  0.5000  0.5000  0.4991

Main lines, by intensity (2θ from 15° to 90°):
2theta, d_spacing, Rel. int.
26.15, 3.407, 100.0
39.25, 2.296, 74.4
20.21, 4.393, 69.3
42.35, 2.134, 58.1
47.36, 1.920, 45.5
60.48, 1.531, 22.6
59.11, 1.563, 22.5
75.38, 1.261, 21.9
79.35, 1.207, 18.3
50.46, 1.809, 17.3

---

[3]
Structure and simulated powder diffraction line list of TbMgGa2Ir4 (a DFT-relaxed cell (GGA-PBE, OQMD); a wavelength of 1.5418 Å).

Unit cell a=4.4465 b=4.4465 c=6.3973 alpha=90.00 beta=90.00 gamma=90.00
Positions (direct):
Tb  0.0000  0.0000  0.0000
Mg  0.5000  0.5000  0.5000
Ga  0.0000  0.0000  0.5000
Ga  0.5000  0.5000  0.0000
Ir  0.0000  0.5000  0.2681
Ir  0.0000  0.5000  0.7319
Ir  0.5000  0.0000  0.2681
Ir  0.5000  0.0000  0.7319

Main lines, by intensity (2θ from 15° to 90°):
2theta, d_spacing, Rel. int.
40.22, 2.242, 100.0
40.58, 2.223, 50.6
73.58, 1.287, 34.0
28.39, 3.144, 19.8
58.73, 1.572, 17.2
72.85, 1.298, 15.6
86.88, 1.121, 10.1
27.89, 3.199, 9.4
49.96, 1.826, 8.0
31.71, 2.822, 7.9